Starting from DFT lattice parameters and positions (PBE), the XRD peak list of Tm3As2P was computed for copper Kα.
Neutral-atom scattering factors, no anomalous dispersion.

Main lines, sorted by position (2θ = 10–80°):
2θ (°)	intensity
13.96	1
22.86	1
27.14	40
31.43	100
31.99	1
45.05	74
53.39	20
55.96	26
65.61	12
72.37	8
74.56	33

Cell and atoms:
```
Tm3As2P
1.0
0.0000 5.6932 12.0690
4.0252 0.0000 12.0690
4.0252 5.6932 0.0000
Tm As P
12 8 4
direct
0.0406 0.5404 0.2042
0.1191 0.6309 0.6309
0.2042 0.7149 0.0406
0.2851 0.7958 0.4596
0.3691 0.8809 0.8809
0.4596 0.9594 0.2851
0.5404 0.0406 0.7149
0.6309 0.1191 0.1191
0.7149 0.2042 0.5404
0.7958 0.2851 0.9594
0.8809 0.3691 0.3691
0.9594 0.4596 0.7958
0.1254 0.1254 0.6246
0.2922 0.2922 0.4578
0.3754 0.3754 0.8746
0.4578 0.4578 0.2922
0.5422 0.5422 0.7078
0.6246 0.6246 0.1254
0.7078 0.7078 0.5422
0.8746 0.8746 0.3754
0.0417 0.0417 0.2083
0.2083 0.2083 0.0417
0.7917 0.7917 0.9583
0.9583 0.9583 0.7917
```



Starting from DFT lattice parameters and positions (PBE), the XRD peak list of Tm3AsP2 was computed for copper Kα.
Neutral-atom scattering factors, no anomalous dispersion.

Main lines, sorted by position (2θ = 10–80°):
2θ (°)	intensity
10.46	1
21.01	1
22.92	1
27.40	61
31.74	100
34.78	1
45.50	73
53.94	30
56.55	26
66.32	12
73.17	12
75.40	33

Cell and atoms:
```
Tm3AsP2
1.0
3.9871 0.0000 0.0000
0.0000 3.9871 0.0000
0.0000 0.0000 16.9098
Tm As P
6 2 4
direct
0.0000 0.0000 0.0000
0.0000 0.0000 0.3306
0.0000 0.0000 0.6694
0.5000 0.5000 0.1694
0.5000 0.5000 0.5000
0.5000 0.5000 0.8306
0.0000 0.0000 0.5000
0.5000 0.5000 0.0000
0.0000 0.0000 0.1666
0.0000 0.0000 0.8334
0.5000 0.5000 0.3334
0.5000 0.5000 0.6666
```



Starting from DFT lattice parameters and positions (PBE), the XRD peak list of U2As3P was computed for copper Kα.
Neutral-atom scattering factors, no anomalous dispersion.

Main lines, sorted by position (2θ = 10–80°):
2θ (°)	intensity
22.31	39
25.29	100
32.26	64
33.73	24
34.21	34
39.57	96
41.02	59
46.26	48
51.94	18
53.45	28
58.47	20
63.52	34

Cell and atoms:
```
U2As3P
1.0
3.9249 0.0000 0.0000
0.0000 3.9249 0.0000
0.0000 0.0000 7.9714
U As P
2 3 1
direct
0.0000 0.5000 0.2235
0.5000 0.0000 0.7765
0.0000 0.5000 0.8577
0.5000 0.0000 0.1423
0.5000 0.5000 0.5000
0.0000 0.0000 0.5000
```



Starting from DFT lattice parameters and positions (PBE), the XRD peak list of UAsP2 was computed for copper Kα.
Neutral-atom scattering factors, no anomalous dispersion.

Main lines, sorted by position (2θ = 10–80°):
2θ (°)	intensity
20.75	37
23.56	37
29.51	43
31.60	27
38.10	100
42.23	37
48.20	13
48.92	23
53.68	13
57.53	14
65.98	20
74.46	29

Cell and atoms:
```
UAsP2
1.0
4.2803 0.0000 0.0000
0.0000 4.2803 0.0000
0.0000 0.0000 3.7763
U As P
1 1 2
direct
0.0000 0.0000 0.0000
0.5000 0.5000 0.0000
0.0000 0.5000 0.5000
0.5000 0.0000 0.5000
```



Starting from DFT lattice parameters and positions (PBE), the XRD peak list of VAsP was computed for copper Kα.
Neutral-atom scattering factors, no anomalous dispersion.

Main lines, sorted by position (2θ = 10–80°):
2θ (°)	intensity
17.35	38
29.24	27
34.20	73
35.12	11
41.83	74
45.61	13
46.33	100
55.73	12
60.65	23
70.39	13
71.51	15
79.59	39

Cell and atoms:
```
VAsP
1.0
3.0538 0.0000 0.0000
0.0000 3.0538 0.0000
0.0000 0.0000 5.1110
V As P
1 1 1
direct
0.0000 0.0000 0.0000
0.5000 0.5000 0.6997
0.5000 0.5000 0.2322
```



Starting from DFT lattice parameters and positions (PBE), the XRD peak list of AsPW was computed for copper Kα.
Neutral-atom scattering factors, no anomalous dispersion.

Main lines, sorted by position (2θ = 10–80°):
2θ (°)	intensity
15.98	49
32.20	31
36.12	100
46.22	53
49.28	11
57.38	22
59.97	10
60.08	10
69.70	15
76.64	12
76.79	10
78.96	16

Cell and atoms:
```
AsPW
1.0
3.2119 0.0000 0.0000
-1.6060 2.7816 0.0000
0.0000 0.0000 5.5478
As P W
1 1 1
direct
0.0000 0.0000 0.0000
0.3333 0.6667 0.3847
0.6667 0.3333 0.6718
```



Starting from DFT lattice parameters and positions (PBE), the XRD peak list of Y6As5P was computed for copper Kα.
Neutral-atom scattering factors, no anomalous dispersion.

Main lines, sorted by position (2θ = 10–80°):
2θ (°)	intensity
15.03	1
26.58	3
30.78	100
44.09	73
52.22	1
54.73	25
64.12	12
72.81	31

Cell and atoms:
```
Y6As5P
1.0
3.5589 -6.1611 0.0000
3.5589 6.1611 0.0000
-2.3721 0.0000 6.7062
Y As P
6 5 1
direct
0.0824 0.4113 0.7475
0.2462 0.2462 0.2521
0.4113 0.0824 0.7475
0.5887 0.9176 0.2525
0.7538 0.7538 0.7479
0.9176 0.5887 0.2525
0.1678 0.8322 0.0000
0.3334 0.6666 0.5000
0.5000 0.5000 0.0000
0.6666 0.3334 0.5000
0.8322 0.1678 0.0000
0.0000 0.0000 0.5000
```



Starting from DFT lattice parameters and positions (PBE), the XRD peak list of ZnAsP was computed for copper Kα.
Neutral-atom scattering factors, no anomalous dispersion.

Main lines, sorted by position (2θ = 10–80°):
2θ (°)	intensity
16.96	16
20.80	100
32.02	45
34.31	59
35.31	26
38.48	47
39.41	87
43.20	25
52.50	37
53.23	81
59.21	15
70.24	19

Cell and atoms:
```
ZnAsP
1.0
2.6204 0.0000 0.0000
0.0000 4.6788 0.0000
0.0000 0.0000 10.4542
Zn As P
2 2 2
direct
0.0000 0.0000 0.0000
0.5000 0.5000 0.5000
0.0000 0.0000 0.2703
0.5000 0.5000 0.7703
0.0000 0.0000 0.4926
0.5000 0.5000 0.9926
```



Starting from DFT lattice parameters and positions (PBE), the XRD peak list of Zn3AsP was computed for copper Kα.
Neutral-atom scattering factors, no anomalous dispersion.

Main lines, sorted by position (2θ = 10–80°):
2θ (°)	intensity
10.52	36
23.91	60
26.01	33
28.50	50
28.80	42
31.91	79
39.63	59
43.61	65
43.76	48
44.58	100
48.52	28
55.05	32

Cell and atoms:
```
Zn3AsP
1.0
5.6977 0.0000 0.0000
0.0000 4.1506 0.0000
-0.2120 0.0000 8.4129
Zn As P
6 2 2
direct
0.0058 0.2500 0.3417
0.1901 0.7500 0.9869
0.4899 0.2500 0.3445
0.5101 0.7500 0.6555
0.8099 0.2500 0.0131
0.9942 0.7500 0.6583
0.2515 0.2500 0.6053
0.7485 0.7500 0.3947
0.2479 0.2500 0.1058
0.7521 0.7500 0.8942
```



Starting from DFT lattice parameters and positions (PBE), the XRD peak list of Zn8As5P was computed for copper Kα.
Neutral-atom scattering factors, no anomalous dispersion.

Main lines, sorted by position (2θ = 10–80°):
2θ (°)	intensity
14.54	28
23.85	14
28.04	75
29.31	31
33.93	88
34.08	44
44.56	28
44.73	12
48.74	50
48.85	100
60.81	30
71.40	15

Cell and atoms:
```
Zn8As5P
1.0
-3.7367 3.7367 5.2618
3.7367 -3.7367 5.2618
3.7367 3.7367 -5.2618
Zn As P
8 5 1
direct
0.3514 0.1181 0.2334
0.3711 0.6273 0.7438
0.3727 0.1164 0.7438
0.3727 0.6289 0.2562
0.8819 0.1153 0.2334
0.8819 0.6486 0.7666
0.8836 0.6273 0.2562
0.8847 0.1181 0.7666
0.1267 0.3806 0.2539
0.1272 0.8733 0.2539
0.1267 0.8728 0.7461
0.6194 0.8733 0.7461
0.7500 0.2500 0.5000
0.5000 0.5000 0.0000
```



Starting from DFT lattice parameters and positions (PBE), the XRD peak list of Pa3As4Pd2Ru2 was computed for copper Kα.
Neutral-atom scattering factors, no anomalous dispersion.

Main lines, sorted by position (2θ = 10–80°):
2θ (°)	intensity
24.16	16
25.01	18
27.42	17
31.06	51
35.58	100
40.75	10
42.51	79
53.57	11
56.60	27
64.30	20
73.28	25
77.79	14

Cell and atoms:
```
Pa3As4Pd2Ru2
1.0
4.2533 0.0000 0.0000
-2.1266 3.6835 0.0000
0.0000 0.0000 13.8528
Pa As Pd Ru
3 4 2 2
direct
0.0000 0.0000 0.0000
0.0000 0.0000 0.2664
0.0000 0.0000 0.7336
0.3333 0.6667 0.3795
0.3333 0.6667 0.8754
0.6667 0.3333 0.1246
0.6667 0.3333 0.6205
0.3333 0.6667 0.5641
0.6667 0.3333 0.4359
0.3333 0.6667 0.1544
0.6667 0.3333 0.8456
```



Starting from DFT lattice parameters and positions (PBE), the XRD peak list of PrTm2PaAs4 was computed for copper Kα.
Neutral-atom scattering factors, no anomalous dispersion.

Main lines, sorted by position (2θ = 10–80°):
2θ (°)	intensity
26.40	22
26.60	7
30.64	100
43.75	38
43.92	12
44.04	25
54.25	7
54.41	13
54.78	6
63.79	12
72.21	11
72.66	11

Cell and atoms:
```
PrTm2PaAs4
1.0
7.1101 0.0000 0.0000
0.0000 4.1339 0.0000
-2.3915 0.0000 6.7633
Pr Tm Pa As
1 2 1 4
direct
0.0000 0.0000 0.0000
0.5000 0.0000 0.5000
0.5000 0.5000 0.0000
0.0000 0.5000 0.5000
0.2556 0.0000 0.7450
0.2590 0.5000 0.2622
0.7410 0.5000 0.7378
0.7444 0.0000 0.2550
```